No. 1
Calculated powder diffraction line list of BaS2O8 for a wavelength of 1.5418 Å, from the GGA-PBE geometry in the Materials Project.
Peak positions follow from Bragg's law for the DFT cell and can differ from measured ones.

Atomic structure:
Unit cell a=6.8798 b=6.8798 c=10.8448 alpha=109.65 beta=109.65 gamma=58.96
Positions (direct):
Ba1 0.2347 0.7653 0.7500
Ba2 0.7653 0.2347 0.2500
S1 0.0927 0.3306 0.0333
S2 0.3307 0.0927 0.5333
S3 0.6693 0.9073 0.4667
S4 0.9073 0.6693 0.9667
O1 0.0204 0.6355 0.8630
O2 0.0527 0.1699 0.9097
O3 0.1699 0.0527 0.4097
O4 0.2841 0.3359 0.5824
O5 0.3359 0.2841 0.0824
O6 0.3645 0.9796 0.6370
O7 0.4123 0.5362 0.4566
O8 0.4638 0.5877 0.0434
O9 0.5362 0.4123 0.9566
O10 0.5877 0.4638 0.5434
O11 0.6355 0.0204 0.3630
O12 0.6641 0.7159 0.9176
O13 0.7159 0.6641 0.4176
O14 0.8301 0.9473 0.5903
O15 0.9473 0.8301 0.0903
O16 0.9796 0.3645 0.1370

Main lines, low angle first (2θ = 15–90°):
Position (°2θ)  I (rel.)
16.09  24
18.78  38
19.24  100
25.89  24
27.28  15
28.07  19
31.32  15
31.91  27
39.05  14
40.55  22

=====

No. 2
Calculated powder diffraction line list of BaSO4 for a wavelength of 1.5418 Å, from the GGA-PBE geometry in the Materials Project.
Peak positions follow from Bragg's law for the DFT cell and can differ from measured ones.

Atomic structure:
Unit cell a=6.2851 b=7.0758 c=8.0069 alpha=90.00 beta=90.00 gamma=90.00
Positions (direct):
Ba1 0.2187 0.0834 0.3653
Ba2 0.2813 0.9166 0.8653
Ba3 0.7187 0.4166 0.6347
Ba4 0.7813 0.5834 0.1347
S1 0.2438 0.4142 0.8770
S2 0.2562 0.5858 0.3770
S3 0.7438 0.0858 0.1230
S4 0.7562 0.9142 0.6230
O1 0.0533 0.5394 0.8475
O2 0.0691 0.4583 0.4063
O3 0.2014 0.2883 0.0206
O4 0.2103 0.7015 0.2252
O5 0.2897 0.2985 0.7252
O6 0.2986 0.7117 0.5206
O7 0.4309 0.5417 0.9063
O8 0.4467 0.4606 0.3475
O9 0.5533 0.9606 0.1525
O10 0.5691 0.0417 0.5937
O11 0.7014 0.2117 0.9794
O12 0.7103 0.7985 0.7748
O13 0.7897 0.2015 0.2748
O14 0.7986 0.7883 0.4794
O15 0.9309 0.9583 0.0937
O16 0.9467 0.0394 0.6525

Main lines, low angle first (2θ = 15–90°):
Position (°2θ)  I (rel.)
18.89  27
26.40  100
27.56  35
28.40  39
31.09  47
36.79  29
38.58  27
39.99  33
42.46  20
44.92  17

=====

No. 3
Calculated powder diffraction line list of BaS5O8 for a wavelength of 1.5418 Å, from the GGA-PBE geometry in the Materials Project.
Peak positions follow from Bragg's law for the DFT cell and can differ from measured ones.

Atomic structure:
Unit cell a=5.3887 b=10.4688 c=22.2879 alpha=90.00 beta=90.00 gamma=90.00
Positions (direct):
Ba1 0.2047 0.2500 0.0477
Ba2 0.2953 0.7500 0.5477
Ba3 0.7047 0.2500 0.4523
Ba4 0.7953 0.7500 0.9523
S1 0.0113 0.2500 0.6766
S2 0.1876 0.5107 0.4080
S3 0.1876 0.9893 0.4080
S4 0.2067 0.5915 0.3176
S5 0.2067 0.9085 0.3176
S6 0.2933 0.0915 0.8176
S7 0.2933 0.4085 0.8176
S8 0.3124 0.0107 0.9080
S9 0.3124 0.4893 0.9080
S10 0.4887 0.7500 0.1766
S11 0.5113 0.2500 0.8234
S12 0.6876 0.5107 0.0920
S13 0.6876 0.9893 0.0920
S14 0.7067 0.5915 0.1824
S15 0.7067 0.9085 0.1824
S16 0.7933 0.0915 0.6824
S17 0.7933 0.4085 0.6824
S18 0.8124 0.0107 0.5920
S19 0.8124 0.4893 0.5920
S20 0.9887 0.7500 0.3234
O1 0.0751 0.5053 0.5780
O2 0.0751 0.9947 0.5780
O3 0.1343 0.7500 0.6743
O4 0.1773 0.0980 0.9472
O5 0.1773 0.4020 0.9472
O6 0.1815 0.6105 0.8959
O7 0.1815 0.8895 0.8959
O8 0.2096 0.2500 0.4924
O9 0.2904 0.7500 0.9924
O10 0.3185 0.1105 0.3959
O11 0.3185 0.3895 0.3959
O12 0.3227 0.5980 0.4472
O13 0.3227 0.9020 0.4472
O14 0.3657 0.2500 0.1743
O15 0.4249 0.0053 0.0780
O16 0.4249 0.4947 0.0780
O17 0.5751 0.5053 0.9220
O18 0.5751 0.9947 0.9220
O19 0.6343 0.7500 0.8257
O20 0.6773 0.0980 0.5528
O21 0.6773 0.4020 0.5528
O22 0.6815 0.6105 0.6041
O23 0.6815 0.8895 0.6041
O24 0.7096 0.2500 0.0076
O25 0.7904 0.7500 0.5076
O26 0.8185 0.1105 0.1041
O27 0.8185 0.3895 0.1041
O28 0.8227 0.5980 0.0528
O29 0.8227 0.9020 0.0528
O30 0.8657 0.2500 0.3257
O31 0.9249 0.0053 0.4220
O32 0.9249 0.4947 0.4220

Main lines, low angle first (2θ = 15–90°):
Position (°2θ)  I (rel.)
18.95  100
21.67  44
23.32  25
25.03  80
28.67  30
32.13  22
33.95  20
34.25  22
38.27  22
41.02  36

=====

No. 4
Calculated powder diffraction line list of BaSO2 for a wavelength of 1.5418 Å, from the GGA-PBE geometry in the Materials Project.
Peak positions follow from Bragg's law for the DFT cell and can differ from measured ones.

Atomic structure:
Unit cell a=8.9554 b=4.9771 c=6.9673 alpha=90.00 beta=90.00 gamma=90.00
Positions (direct):
Ba1 0.1942 0.2500 0.1842
Ba2 0.3058 0.7500 0.6842
Ba3 0.6942 0.2500 0.3158
Ba4 0.8058 0.7500 0.8158
S1 0.0718 0.2500 0.7215
S2 0.4282 0.7500 0.2215
S3 0.5718 0.2500 0.7785
S4 0.9282 0.7500 0.2785
O1 0.0855 0.7500 0.3787
O2 0.2030 0.2500 0.5653
O3 0.2970 0.7500 0.0653
O4 0.4145 0.2500 0.8787
O5 0.5855 0.7500 0.1213
O6 0.7030 0.2500 0.9347
O7 0.7970 0.7500 0.4347
O8 0.9145 0.2500 0.6213

Main lines, low angle first (2θ = 15–90°):
Position (°2θ)  I (rel.)
19.83  38
21.95  36
25.57  34
26.78  58
27.47  48
29.74  100
36.09  46
42.41  27
44.21  38
56.89  27

=====

No. 5
Calculated powder diffraction line list of BaSO4 for a wavelength of 1.5418 Å, from the GGA-PBE geometry in the Materials Project.
Peak positions follow from Bragg's law for the DFT cell and can differ from measured ones.

Atomic structure:
Unit cell a=5.2309 b=5.2309 c=5.2309 alpha=60.00 beta=60.00 gamma=60.00
Positions (direct):
Ba1 0.0000 0.0000 0.0000
S1 0.5000 0.5000 0.5000
O1 0.1508 0.6164 0.6164
O2 0.6164 0.1508 0.6164
O3 0.6164 0.6164 0.1508
O4 0.6164 0.6164 0.6164

Main lines, low angle first (2θ = 15–90°):
Position (°2θ)  I (rel.)
20.80  30
24.06  100
34.29  72
40.44  49
42.32  30
55.56  32
61.40  25
65.57  16
72.25  13
77.40  17